KAc6Se8: computed X-ray diffraction stick pattern (Cu Kα (weighted mean of Kα1 and Kα2)), based on a DFT-relaxed cell (PBE, Alexandria).

Top 6 peaks for 5 to 70 degrees two-theta, in order of rising 2θ:
two_theta  intensity
8.33  100
21.26  45
22.16  53
29.70  68
30.36  23
35.32  64

Atomic structure:
abc: 12.2576 12.2576 4.5454
angles: 90.00 90.00 120.00
Fractional coordinates of all 15 atoms:
K: 0.0000 0.0000 0.0000
Ac: 0.1430 0.4747 0.2526
Ac: 0.3318 0.8570 0.2526
Ac: 0.4747 0.3318 0.7474
Ac: 0.5253 0.6682 0.2526
Ac: 0.6682 0.1430 0.7474
Ac: 0.8570 0.5253 0.7474
Se: 0.0453 0.6719 0.2465
Se: 0.3281 0.3734 0.2465
Se: 0.3333 0.6667 0.7525
Se: 0.3734 0.0453 0.7535
Se: 0.6266 0.9547 0.2465
Se: 0.6667 0.3333 0.2475
Se: 0.6719 0.6266 0.7535
Se: 0.9547 0.3281 0.7535

=====

Ga5Ag3Au2: computed X-ray diffraction stick pattern (Cu Kα (weighted mean of Kα1 and Kα2)), based on a DFT-relaxed cell (PBE, Alexandria).

Top 6 peaks for 5 to 70 degrees two-theta, in order of rising 2θ:
two_theta  intensity
10.94  62
33.25  76
33.99  100
37.10  63
42.22  60
46.71  70

Atomic structure:
abc: 8.7285 8.7285 8.7285
angles: 106.16 86.69 141.20
Fractional coordinates of all 20 atoms:
Ga: 0.1587 0.0874 0.2460
Ga: 0.2500 0.0061 0.7561
Ga: 0.2500 0.2500 0.0000
Ga: 0.2500 0.4939 0.2439
Ga: 0.3414 0.5874 0.9287
Ga: 0.6586 0.4126 0.0713
Ga: 0.7500 0.5061 0.7561
Ga: 0.7500 0.7500 0.0000
Ga: 0.7500 0.9939 0.2439
Ga: 0.8414 0.9126 0.7540
Ag: 0.1887 0.3687 0.5573
Ag: 0.2500 0.7500 0.5000
Ag: 0.3113 0.8687 0.1800
Ag: 0.6887 0.1313 0.8200
Ag: 0.7500 0.2500 0.5000
Ag: 0.8113 0.6313 0.4427
Au: 0.1529 0.6574 0.8104
Au: 0.3471 0.1574 0.5045
Au: 0.6529 0.8426 0.4955
Au: 0.8471 0.3426 0.1896